Diffraction record for UGeRu2. The powder X-ray diffraction pattern is computed, not measured: it uses a structure optimized by DFT (PBE) and a wavelength of 1.5418 Å.

Largest 10 diffraction maxima, sorted by position, 2θ = 10–90°:
2θ/deg  d/Å  I/Imax
12.6  7.018  15
32.2  2.777  29
38.5  2.339  9
39.3  2.291  100
42.3  2.138  45
58.5  1.578  11
61.3  1.512  15
69.3  1.356  15
75.3  1.262  30
84.6  1.145  9

Atomic structure:
a b c (Å): 3.024 3.024 7.018
angles (deg): 90.00 90.00 90.00
Fractional coordinates of all 4 atoms:
U  0.000  0.000  0.000
Ge  0.000  0.000  0.500
Ru  0.500  0.500  0.287
Ru  0.500  0.500  0.713

---

Diffraction record for U2GeRu. The powder X-ray diffraction pattern is computed, not measured: it uses a structure optimized by DFT (PBE) and a wavelength of 1.5418 Å.

Largest 10 diffraction maxima, sorted by position, 2θ = 10–90°:
2θ/deg  d/Å  I/Imax
16.0  5.540  38
25.6  3.483  65
36.1  2.486  81
36.8  2.440  73
37.2  2.418  49
38.2  2.356  100
38.4  2.346  65
40.3  2.239  81
52.7  1.737  29
56.0  1.643  31

Atomic structure:
a b c (Å): 5.678 4.479 6.126
angles (deg): 90.00 102.65 90.00
Fractional coordinates of all 8 atoms:
U  0.108  0.250  0.474
U  0.206  0.250  0.903
U  0.794  0.750  0.097
U  0.892  0.750  0.526
Ge  0.422  0.750  0.680
Ge  0.578  0.250  0.320
Ru  0.297  0.750  0.217
Ru  0.703  0.250  0.783

---

Diffraction record for U2Ge8Ru. The powder X-ray diffraction pattern is computed, not measured: it uses a structure optimized by DFT (PBE) and a wavelength of 1.5418 Å.

Largest 10 diffraction maxima, sorted by position, 2θ = 10–90°:
2θ/deg  d/Å  I/Imax
20.8  4.263  36
32.0  2.793  23
33.8  2.648  28
38.5  2.336  100
40.7  2.218  13
42.4  2.131  48
54.1  1.695  15
60.2  1.537  16
61.5  1.507  16
75.0  1.266  29

Atomic structure:
a b c (Å): 4.263 4.263 11.092
angles (deg): 90.00 90.00 90.00
Fractional coordinates of all 11 atoms:
U  0.000  0.000  0.185
U  0.000  0.000  0.815
Ge  0.000  0.500  0.000
Ge  0.000  0.500  0.373
Ge  0.000  0.500  0.627
Ge  0.500  0.000  0.000
Ge  0.500  0.000  0.373
Ge  0.500  0.000  0.627
Ge  0.500  0.500  0.188
Ge  0.500  0.500  0.812
Ru  0.000  0.000  0.500

---

Diffraction record for VGe2Ru. The powder X-ray diffraction pattern is computed, not measured: it uses a structure optimized by DFT (PBE) and a wavelength of 1.5418 Å.

Largest 10 diffraction maxima, sorted by position, 2θ = 10–90°:
2θ/deg  d/Å  I/Imax
13.9  6.355  15
33.0  2.711  4
41.4  2.181  100
42.7  2.120  46
45.1  2.011  3
58.1  1.589  9
61.9  1.499  15
74.7  1.271  17
77.2  1.235  30
90.0  1.090  10

Atomic structure:
a b c (Å): 2.998 2.998 6.355
angles (deg): 90.00 90.00 90.00
Fractional coordinates of all 4 atoms:
V  0.000  0.000  0.000
Ge  0.500  0.500  0.258
Ge  0.500  0.500  0.742
Ru  0.000  0.000  0.500